The following is a computed XRD peak list of KMoPO6. It was derived from a structure optimized by DFT (PBE+U), using Cu Kα, 1.54184 Å.
Lines closer than 0.1° are merged.

Largest 8 diffraction maxima, by angle, 2θ = 10–80°:
2θ 11.9, I = 63, (1 1 1)
2θ 18.1, I = 54, (0 2 2)
2θ 19.3, I = 38, (2 0 2)
2θ 21.0, I = 53, (2 2 0)
2θ 28.3, I = 58, (0 4 0)
2θ 31.2, I = 100, (2 2 4)
2θ 31.5, I = 23, (4 0 0)
2θ 36.6, I = 28, (0 4 4)

Cell and atoms:
a = 11.357 Å, b = 12.618 Å, c = 15.663 Å
α = 90.00°, β = 90.00°, γ = 90.00°
Space group Fddd (No. 70, origin choice 2)
Inequivalent atoms, fractional coordinates:
K (0.095, 0.375, 0.375)
Mo (0.125, 0.346, 0.625)
P (0.125, 0.125, 0.490)
O (0.034, 0.070, 0.429)
O (0.064, 0.039, 0.707)
O (0.078, 0.317, 0.203)